Calculated powder diffractogram
Compound: Li22V7Sn7
Radiation: Cu Kα X-rays
Structure: a PBE-relaxed structure
Neutral-atom scattering factors, no anomalous dispersion.

Peak list (10 most intense, 10 to 80 degrees two-theta, most intense first)
| 2θ/deg | d [Å] | I_rel |
| --- | --- | --- |
| 22.71 | 3.916 | 100 |
| 38.42 | 2.343 | 57 |
| 38.79 | 2.321 | 54 |
| 47.15 | 1.928 | 28 |
| 25.75 | 3.460 | 23 |
| 24.41 | 3.646 | 22 |
| 42.96 | 2.105 | 21 |
| 69.98 | 1.344 | 19 |
| 55.74 | 1.649 | 19 |
| 45.42 | 1.997 | 16 |

Structure:
```
Li22V7Sn7
1.0
4.643 0.000 0.000
-2.321 4.021 0.000
0.000 0.000 34.599
Li V Sn
22 7 7
Cartesian
0.000 0.000 0.000 Li
0.000 0.000 2.789 Li
0.000 0.000 5.777 Li
0.000 0.000 17.316 Li
0.000 0.000 20.156 Li
0.000 0.000 23.002 Li
0.000 2.680 3.712 Li
0.000 2.680 6.679 Li
0.000 2.680 9.515 Li
0.000 2.680 12.341 Li
0.000 2.680 15.317 Li
0.000 2.680 21.041 Li
0.000 2.680 23.966 Li
0.000 2.680 26.787 Li
0.000 2.680 29.635 Li
0.000 2.680 32.605 Li
2.321 1.340 1.725 Li
2.321 1.340 13.240 Li
2.321 1.340 16.246 Li
2.321 1.340 19.014 Li
2.321 1.340 30.556 Li
2.321 1.340 33.537 Li
0.000 0.000 8.670 V
0.000 0.000 14.294 V
0.000 0.000 25.971 V
0.000 0.000 31.608 V
2.321 1.340 4.719 V
2.321 1.340 10.344 V
2.321 1.340 27.718 V
0.000 0.000 11.439 Sn
0.000 0.000 28.752 Sn
0.000 2.680 0.859 Sn
0.000 2.680 18.150 Sn
2.321 1.340 7.578 Sn
2.321 1.340 21.879 Sn
2.321 1.340 24.956 Sn
```

Calculated powder diffractogram
Compound: Li2ZnSn
Radiation: Cu Kα X-rays
Structure: a PBE-relaxed structure
Neutral-atom scattering factors, no anomalous dispersion.

Peak list (10 most intense, 10 to 80 degrees two-theta, most intense first)
| 2θ/deg | d [Å] | I_rel |
| --- | --- | --- |
| 27.42 | 3.253 | 100 |
| 39.16 | 2.300 | 97 |
| 64.00 | 1.455 | 37 |
| 70.97 | 1.328 | 34 |
| 48.47 | 1.878 | 28 |
| 56.58 | 1.627 | 17 |
| 23.69 | 3.756 | 14 |
| 46.28 | 1.962 | 8 |
| 62.19 | 1.493 | 4 |
| 76.00 | 1.252 | 3 |

Structure:
```
Li2ZnSn
1.0
0.000 3.253 3.253
3.253 0.000 3.253
3.253 3.253 0.000
Li Zn Sn
2 1 1
Cartesian
1.627 1.627 1.627 Li
4.880 4.880 4.880 Li
0.000 0.000 0.000 Zn
3.253 3.253 3.253 Sn
```

Calculated powder diffractogram
Compound: Li2ZnSn
Radiation: Cu Kα X-rays
Structure: a PBE-relaxed structure
Neutral-atom scattering factors, no anomalous dispersion.

Peak list (10 most intense, 10 to 80 degrees two-theta, most intense first)
| 2θ/deg | d [Å] | I_rel |
| --- | --- | --- |
| 23.68 | 3.757 | 100 |
| 39.15 | 2.301 | 95 |
| 46.27 | 1.962 | 52 |
| 70.95 | 1.328 | 33 |
| 62.18 | 1.493 | 22 |
| 75.99 | 1.252 | 16 |
| 56.57 | 1.627 | 16 |
| 27.41 | 3.254 | 7 |
| 63.98 | 1.455 | 3 |
| 48.46 | 1.879 | 2 |

Structure:
```
Li2ZnSn
1.0
0.000 3.254 3.254
3.254 0.000 3.254
3.254 3.254 0.000
Li Zn Sn
2 1 1
Cartesian
0.000 0.000 0.000 Li
1.627 1.627 1.627 Li
3.254 3.254 3.254 Zn
4.881 4.881 4.881 Sn
```

Calculated powder diffractogram
Compound: Li3Zn2Sn4
Radiation: Cu Kα X-rays
Structure: a PBE-relaxed structure
Neutral-atom scattering factors, no anomalous dispersion.

Peak list (10 most intense, 10 to 80 degrees two-theta, most intense first)
| 2θ/deg | d [Å] | I_rel |
| --- | --- | --- |
| 23.98 | 3.711 | 100 |
| 39.63 | 2.274 | 83 |
| 46.85 | 1.939 | 45 |
| 36.34 | 2.472 | 29 |
| 22.92 | 3.881 | 21 |
| 43.24 | 2.092 | 19 |
| 71.89 | 1.313 | 19 |
| 25.60 | 3.479 | 17 |
| 77.04 | 1.238 | 12 |
| 54.83 | 1.674 | 10 |

Structure:
```
Li3Zn2Sn4
1.0
4.551 0.000 0.000
-2.275 3.941 0.000
0.000 0.000 22.218
Li Zn Sn
6 4 8
Cartesian
0.000 2.627 2.394 Li
0.000 2.627 5.555 Li
0.000 2.627 8.715 Li
2.275 1.314 13.503 Li
2.275 1.314 16.664 Li
2.275 1.314 19.825 Li
0.000 2.627 14.543 Zn
0.000 2.627 18.784 Zn
2.275 1.314 3.434 Zn
2.275 1.314 7.675 Zn
0.000 0.000 4.075 Sn
0.000 0.000 7.034 Sn
0.000 0.000 15.184 Sn
0.000 0.000 18.143 Sn
0.000 2.627 11.760 Sn
0.000 2.627 21.568 Sn
2.275 1.314 0.651 Sn
2.275 1.314 10.459 Sn
```

Calculated powder diffractogram
Compound: Sr3Li2
Radiation: Cu Kα X-rays
Structure: a PBE-relaxed structure
Neutral-atom scattering factors, no anomalous dispersion.

Peak list (10 most intense, 10 to 80 degrees two-theta, most intense first)
| 2θ/deg | d [Å] | I_rel |
| --- | --- | --- |
| 29.02 | 3.077 | 100 |
| 27.46 | 3.248 | 88 |
| 20.44 | 4.345 | 49 |
| 24.15 | 3.685 | 46 |
| 25.94 | 3.435 | 37 |
| 30.85 | 2.899 | 27 |
| 44.68 | 2.028 | 26 |
| 51.33 | 1.780 | 18 |
| 43.64 | 2.074 | 16 |
| 12.88 | 6.871 | 14 |

Structure:
```
Sr3Li2
1.0
9.717 0.000 0.000
0.000 9.717 0.000
0.000 0.000 8.734
Sr Li
12 8
Cartesian
0.000 4.858 2.183 Sr
0.000 4.858 6.550 Sr
1.454 1.454 0.000 Sr
2.055 2.055 4.367 Sr
2.803 6.914 0.000 Sr
3.404 6.313 4.367 Sr
4.858 0.000 2.183 Sr
4.858 0.000 6.550 Sr
6.313 3.404 4.367 Sr
6.914 2.803 0.000 Sr
7.661 7.661 4.367 Sr
8.262 8.262 0.000 Sr
1.096 8.621 2.778 Li
1.096 8.621 5.955 Li
3.762 3.762 1.588 Li
3.762 3.762 7.145 Li
5.954 5.954 1.588 Li
5.954 5.954 7.145 Li
8.621 1.096 2.778 Li
8.621 1.096 5.955 Li
```

Calculated powder diffractogram
Compound: LiTaW2
Radiation: Cu Kα X-rays
Structure: a PBE-relaxed structure
Neutral-atom scattering factors, no anomalous dispersion.

Peak list (10 most intense, 10 to 80 degrees two-theta, most intense first)
| 2θ/deg | d [Å] | I_rel |
| --- | --- | --- |
| 40.21 | 2.242 | 100 |
| 73.09 | 1.295 | 35 |
| 24.31 | 3.662 | 25 |
| 58.18 | 1.586 | 17 |
| 28.14 | 3.171 | 14 |
| 47.55 | 1.912 | 13 |
| 63.98 | 1.455 | 5 |
| 65.85 | 1.418 | 5 |
| 78.33 | 1.221 | 4 |
| 49.80 | 1.831 | 4 |

Structure:
```
LiTaW2
1.0
0.000 3.171 3.171
3.171 0.000 3.171
3.171 3.171 0.000
Li Ta W
1 1 2
Cartesian
0.000 0.000 0.000 Li
3.171 3.171 3.171 Ta
1.586 1.586 1.586 W
4.757 4.757 4.757 W
```

Calculated powder diffractogram
Compound: Li3Tb
Radiation: Cu Kα X-rays
Structure: a PBE-relaxed structure
Neutral-atom scattering factors, no anomalous dispersion.

Peak list (10 most intense, 10 to 80 degrees two-theta, most intense first)
| 2θ/deg | d [Å] | I_rel |
| --- | --- | --- |
| 23.56 | 3.777 | 100 |
| 27.11 | 3.290 | 47 |
| 36.21 | 2.481 | 42 |
| 15.55 | 5.698 | 40 |
| 45.81 | 1.981 | 33 |
| 45.31 | 2.001 | 23 |
| 61.49 | 1.508 | 15 |
| 31.40 | 2.849 | 10 |
| 47.89 | 1.899 | 10 |
| 35.60 | 2.522 | 10 |

Structure:
```
Li3Tb
1.0
6.579 0.000 0.000
-3.290 5.698 0.000
0.000 0.000 5.044
Li Tb
6 2
Cartesian
0.000 1.706 1.261 Li
-1.813 4.845 1.261 Li
1.477 0.853 3.783 Li
1.813 4.845 1.261 Li
5.102 0.853 3.783 Li
3.290 3.992 3.783 Li
0.000 3.799 3.783 Tb
3.290 1.899 1.261 Tb
```

Calculated powder diffractogram
Compound: LiTh2Tc
Radiation: Cu Kα X-rays
Structure: a PBE-relaxed structure
Neutral-atom scattering factors, no anomalous dispersion.

Peak list (10 most intense, 10 to 80 degrees two-theta, most intense first)
| 2θ/deg | d [Å] | I_rel |
| --- | --- | --- |
| 35.13 | 2.555 | 100 |
| 24.64 | 3.613 | 46 |
| 63.03 | 1.475 | 38 |
| 57.00 | 1.616 | 20 |
| 50.53 | 1.806 | 18 |
| 43.38 | 2.086 | 14 |
| 74.25 | 1.277 | 12 |
| 79.61 | 1.204 | 10 |
| 21.30 | 4.172 | 7 |
| 41.45 | 2.179 | 4 |

Structure:
```
LiTh2Tc
1.0
0.000 3.613 3.613
3.613 0.000 3.613
3.613 3.613 0.000
Li Th Tc
1 2 1
Cartesian
0.000 0.000 0.000 Li
1.806 1.806 1.806 Th
5.419 5.419 5.419 Th
3.613 3.613 3.613 Tc
```